Starting from a structure optimized by DFT (PBE), the X-ray diffraction stick pattern of Nb6Fe16Si7 was calculated for a wavelength of 1.5418 Å.

Atomic structure:
```
29
Lattice="0.000 5.618 5.618 5.618 0.000 5.618 5.618 5.618 0.000" Properties=species:S:1:pos:R:3 pbc="T T T"
Nb 5.618 5.618 2.294
Nb 5.618 2.294 5.618
Nb 8.941 5.618 5.618
Nb 2.294 5.618 5.618
Nb 5.618 8.941 5.618
Nb 5.618 5.618 8.941
Fe 6.966 4.269 4.269
Fe 1.953 1.953 1.953
Fe 3.664 3.664 1.953
Fe 3.664 1.953 3.664
Fe 4.269 4.269 4.269
Fe 6.966 6.966 4.269
Fe 6.966 4.269 6.966
Fe 1.953 3.664 3.664
Fe 9.282 7.571 7.571
Fe 4.269 6.966 4.269
Fe 4.269 4.269 6.966
Fe 6.966 6.966 6.966
Fe 7.571 9.282 7.571
Fe 7.571 7.571 9.282
Fe 9.282 9.282 9.282
Fe 4.269 6.966 6.966
Si 2.809 2.809 0.000
Si 2.809 0.000 2.809
Si 5.618 2.809 2.809
Si 0.000 2.809 2.809
Si 2.809 5.618 2.809
Si 2.809 2.809 5.618
Si 5.618 5.618 5.618
```

Main lines, sorted by position (2θ from 10° to 80°):
27.50 deg, I = 28
34.81 deg, I = 12
39.29 deg, I = 25
41.78 deg, I = 100
45.68 deg, I = 85
47.90 deg, I = 16
48.62 deg, I = 18
53.48 deg, I = 10
58.68 deg, I = 9
68.34 deg, I = 11
71.22 deg, I = 22
72.92 deg, I = 13

Starting from a structure optimized by DFT (PBE), the X-ray diffraction stick pattern of NbFeSi was calculated for a wavelength of 1.5418 Å.

Atomic structure:
```
12
Lattice="6.231 0.000 0.000 0.000 3.683 0.000 0.000 0.000 7.133" Properties=species:S:1:pos:R:3 pbc="T T T"
Nb 0.151 0.921 1.299
Nb 2.964 2.762 4.865
Nb 3.267 0.921 2.268
Nb 6.080 2.762 5.834
Fe 0.878 0.921 3.996
Fe 2.237 2.762 0.430
Fe 3.994 0.921 6.703
Fe 5.353 2.762 3.137
Si 1.423 2.762 2.695
Si 1.693 0.921 6.261
Si 4.538 2.762 0.872
Si 4.809 0.921 4.438
```

Main lines, sorted by position (2θ from 10° to 80°):
27.25 deg, I = 24
28.65 deg, I = 14
37.82 deg, I = 31
37.97 deg, I = 100
38.36 deg, I = 23
39.95 deg, I = 96
40.61 deg, I = 44
45.44 deg, I = 54
47.82 deg, I = 13
49.50 deg, I = 37
65.88 deg, I = 20
74.75 deg, I = 23

Starting from a structure optimized by DFT (PBE), the X-ray diffraction stick pattern of Nb4FeTe4 was calculated for a wavelength of 1.5418 Å.

Atomic structure:
```
36
Lattice="10.655 0.000 0.000 0.000 18.470 0.000 0.000 0.000 4.889" Properties=species:S:1:pos:R:3 pbc="T T T"
Nb 0.700 2.202 0.000
Nb 1.073 16.423 2.444
Nb 2.066 1.080 2.444
Nb 2.221 17.780 0.000
Nb 3.106 8.545 0.000
Nb 3.262 10.315 2.444
Nb 4.254 7.188 2.444
Nb 4.627 11.437 0.000
Nb 6.028 7.033 0.000
Nb 6.401 11.282 2.444
Nb 7.393 8.155 2.444
Nb 7.549 9.925 0.000
Nb 8.434 0.690 0.000
Nb 8.589 17.390 2.444
Nb 9.581 2.047 2.444
Nb 9.954 16.268 0.000
Fe 0.000 0.000 1.226
Fe 0.000 0.000 3.663
Fe 5.327 9.235 1.226
Fe 5.327 9.235 3.663
Te 1.174 3.788 2.444
Te 1.534 8.039 2.444
Te 1.790 11.074 0.000
Te 1.826 14.965 0.000
Te 3.501 5.730 0.000
Te 3.538 1.839 0.000
Te 3.793 17.274 2.444
Te 4.153 13.023 2.444
Te 6.502 5.447 2.444
Te 6.862 1.196 2.444
Te 7.117 16.631 0.000
Te 7.154 12.740 0.000
Te 8.829 3.505 0.000
Te 8.865 7.396 0.000
Te 9.121 10.431 2.444
Te 9.481 14.682 2.444
```

Main lines, sorted by position (2θ from 10° to 80°):
16.63 deg, I = 40
25.19 deg, I = 68
27.87 deg, I = 35
32.64 deg, I = 29
34.79 deg, I = 34
35.48 deg, I = 75
36.79 deg, I = 100
38.80 deg, I = 34
40.60 deg, I = 29
41.29 deg, I = 46
50.72 deg, I = 29
51.70 deg, I = 26

Starting from a structure optimized by DFT (PBE), the X-ray diffraction stick pattern of TiNbFe4 was calculated for a wavelength of 1.5418 Å.

Atomic structure:
```
12
Lattice="4.736 0.000 0.000 -2.368 4.101 0.000 0.000 0.000 7.845" Properties=species:S:1:pos:R:3 pbc="T T T"
Ti 0.000 2.734 0.481
Ti 2.368 1.367 7.364
Nb 0.000 2.734 3.366
Nb 2.368 1.367 4.479
Fe 0.000 0.000 0.000
Fe 0.000 0.000 3.923
Fe 0.000 1.397 5.906
Fe -1.158 3.403 5.906
Fe 1.210 0.698 1.939
Fe 1.158 3.403 5.906
Fe 3.526 0.698 1.939
Fe 2.368 2.704 1.939
```

Main lines, sorted by position (2θ from 10° to 80°):
11.28 deg, I = 16
38.00 deg, I = 37
40.93 deg, I = 86
44.16 deg, I = 12
44.70 deg, I = 100
45.73 deg, I = 87
46.29 deg, I = 16
50.20 deg, I = 17
51.66 deg, I = 14
70.64 deg, I = 28
73.34 deg, I = 21
76.44 deg, I = 31

Starting from a structure optimized by DFT (PBE), the X-ray diffraction stick pattern of NdFe2 was calculated for a wavelength of 1.5418 Å.

Atomic structure:
```
6
Lattice="0.000 3.722 3.722 3.722 0.000 3.722 3.722 3.722 0.000" Properties=species:S:1:pos:R:3 pbc="T T T"
Nd 0.931 0.931 0.931
Nd 6.514 6.514 6.514
Fe 3.722 1.861 1.861
Fe 1.861 3.722 1.861
Fe 1.861 1.861 3.722
Fe 3.722 3.722 3.722
```

Main lines, sorted by position (2θ from 10° to 80°):
20.67 deg, I = 12
34.06 deg, I = 63
40.18 deg, I = 100
42.05 deg, I = 15
53.67 deg, I = 3
60.97 deg, I = 24
65.11 deg, I = 31
71.72 deg, I = 22
75.56 deg, I = 3

Starting from a structure optimized by DFT (PBE), the X-ray diffraction stick pattern of Nd3Fe29 was calculated for a wavelength of 1.5418 Å.

Atomic structure:
```
32
Lattice="4.855 -4.291 0.000 4.855 4.291 0.000 -1.125 0.000 10.450" Properties=species:S:1:pos:R:3 pbc="T T T"
Nd 0.000 0.000 0.000
Nd 1.138 0.000 6.262
Nd 7.447 0.000 4.188
Fe 2.427 2.145 0.000
Fe 0.600 0.000 3.040
Fe 2.439 2.120 8.384
Fe 3.751 2.358 2.049
Fe 2.636 1.247 3.920
Fe 3.566 2.124 6.231
Fe 1.715 0.000 9.339
Fe 2.676 0.000 1.463
Fe 5.018 2.124 4.219
Fe 4.834 2.358 8.400
Fe 4.855 1.201 0.000
Fe 6.146 2.120 2.065
Fe 2.636 -1.247 3.920
Fe 3.811 0.000 7.808
Fe 2.427 -2.145 0.000
Fe 4.292 0.000 5.225
Fe 4.774 0.000 2.642
Fe 5.949 1.247 6.530
Fe 2.439 -2.120 8.384
Fe 4.855 -1.201 0.000
Fe 3.751 -2.358 2.049
Fe 3.566 -2.124 6.231
Fe 5.908 0.000 8.986
Fe 6.869 0.000 1.110
Fe 5.018 -2.124 4.219
Fe 5.949 -1.247 6.530
Fe 4.834 -2.358 8.400
Fe 6.146 -2.120 2.065
Fe 7.984 0.000 7.409
```

Main lines, sorted by position (2θ from 10° to 80°):
30.04 deg, I = 42
36.53 deg, I = 41
37.34 deg, I = 41
39.53 deg, I = 27
42.12 deg, I = 46
42.56 deg, I = 100
42.94 deg, I = 69
43.07 deg, I = 84
43.28 deg, I = 58
48.43 deg, I = 34
62.43 deg, I = 21
77.63 deg, I = 24